(1)
Calculated X-ray powder pattern
Compound: CrInPt2
Radiation: copper Kα
Structure: a crystal structure in Alexandria, relaxed with PBE
Lines closer than 0.1° are merged.

Unit cell a=2.9772 b=4.6767 c=4.7855 alpha=90.00 beta=90.00 gamma=90.00
Atoms (fractional coordinates):
1 Cr 0.0000 0.0000 0.0000
2 In 0.0000 0.5000 0.5766
3 Pt 0.5000 0.0000 0.4803
4 Pt 0.5000 0.5000 0.0714

Peak list (10 most intense, 2θ from 10° to 90°, low angle first)
hkl 0 1 1, 2θ = 26.7°, I 21.9
hkl 1 0 0, 2θ = 30.0°, I 8.7
hkl 0 0 2, 2θ = 37.6°, I 24.1
hkl 0 2 0, 2θ = 38.5°, I 31.3
hkl 1 1 1, 2θ = 40.6°, I 100.0
hkl 0 1 2, 2θ = 42.4°, I 13.8
hkl 0 2 2, 2θ = 54.9°, I 16.0
hkl 1 1 3, 2θ = 69.9°, I 9.6
hkl 1 3 1, 2θ = 71.0°, I 18.9
hkl 2 2 2, 2θ = 87.8°, I 8.7


(2)
Calculated X-ray powder pattern
Compound: RbHg2PbCl8
Radiation: copper Kα
Structure: a crystal structure in Alexandria, relaxed with PBE
Lines closer than 0.1° are merged.

Unit cell a=6.8116 b=6.9340 c=9.2610 alpha=72.06 beta=80.22 gamma=85.00
Atoms (fractional coordinates):
1 Rb 0.0000 0.0000 0.0000
2 Hg 0.4791 0.4748 0.2352
3 Hg 0.5209 0.5252 0.7648
4 Pb 0.0000 0.0000 0.5000
5 Cl 0.1363 0.7292 0.7500
6 Cl 0.1995 0.7952 0.3142
7 Cl 0.3386 0.2419 0.4716
8 Cl 0.4068 0.2672 0.9939
9 Cl 0.5932 0.7328 0.0061
10 Cl 0.6614 0.7581 0.5284
11 Cl 0.8005 0.2048 0.6858
12 Cl 0.8637 0.2708 0.2500

Peak list (10 most intense, 2θ from 10° to 90°, low angle first)
hkl 1 1 0, 2θ = 18.5°, I 100.0
hkl 1 -1 0, 2θ = 19.2°, I 86.8
hkl 0 1 2, 2θ = 20.8°, I 63.6
hkl 1 0 2, 2θ = 22.6°, I 53.8
hkl 2 0 0, 2θ = 26.6°, I 31.9
hkl 0 1 -2, 2θ = 27.7°, I 38.7
hkl 1 2 2, 2θ = 29.9°, I 31.8
hkl 2 1 2, 2θ = 31.0°, I 28.5
hkl -1 2 2, 2θ = 33.4°, I 37.8
hkl -2 1 2, 2θ = 36.8°, I 33.0


(3)
Calculated X-ray powder pattern
Compound: MgTc2Rh2
Radiation: copper Kα
Structure: a crystal structure in Alexandria, relaxed with PBE
Lines closer than 0.1° are merged.

Unit cell a=7.6009 b=7.6009 c=2.7540 alpha=90.00 beta=90.00 gamma=90.00
Atoms (fractional coordinates):
1 Mg 0.0000 0.0000 0.0000
2 Mg 0.5000 0.5000 0.0000
3 Tc 0.1176 0.3824 0.0000
4 Tc 0.3824 0.8824 0.0000
5 Tc 0.6176 0.1176 0.0000
6 Tc 0.8824 0.6176 0.0000
7 Rh 0.1735 0.6735 0.5000
8 Rh 0.3265 0.1735 0.5000
9 Rh 0.6735 0.8265 0.5000
10 Rh 0.8265 0.3265 0.5000

Peak list (10 most intense, 2θ from 10° to 90°, low angle first)
hkl 1 1 0, 2θ = 16.5°, I 56.1
hkl 3 1 0, 2θ = 37.4°, I 38.2
hkl 2 0 1, 2θ = 40.4°, I 18.7
hkl 2 1 1, 2θ = 42.2°, I 100.0
hkl 3 2 0, 2θ = 42.9°, I 19.1
hkl 4 0 0, 2θ = 47.9°, I 12.4
hkl 4 1 0, 2θ = 49.4°, I 15.3
hkl 3 3 0, 2θ = 51.0°, I 11.2
hkl 5 1 1, 2θ = 72.0°, I 11.2
hkl 5 2 1, 2θ = 75.7°, I 11.2


What is the formula in the second record? RbHg2PbCl8


Repeat the second record exactly.
Calculated X-ray powder pattern
Compound: RbHg2PbCl8
Radiation: copper Kα
Structure: a crystal structure in Alexandria, relaxed with PBE
Lines closer than 0.1° are merged.

Unit cell a=6.8116 b=6.9340 c=9.2610 alpha=72.06 beta=80.22 gamma=85.00
Atoms (fractional coordinates):
1 Rb 0.0000 0.0000 0.0000
2 Hg 0.4791 0.4748 0.2352
3 Hg 0.5209 0.5252 0.7648
4 Pb 0.0000 0.0000 0.5000
5 Cl 0.1363 0.7292 0.7500
6 Cl 0.1995 0.7952 0.3142
7 Cl 0.3386 0.2419 0.4716
8 Cl 0.4068 0.2672 0.9939
9 Cl 0.5932 0.7328 0.0061
10 Cl 0.6614 0.7581 0.5284
11 Cl 0.8005 0.2048 0.6858
12 Cl 0.8637 0.2708 0.2500

Peak list (10 most intense, 2θ from 10° to 90°, low angle first)
hkl 1 1 0, 2θ = 18.5°, I 100.0
hkl 1 -1 0, 2θ = 19.2°, I 86.8
hkl 0 1 2, 2θ = 20.8°, I 63.6
hkl 1 0 2, 2θ = 22.6°, I 53.8
hkl 2 0 0, 2θ = 26.6°, I 31.9
hkl 0 1 -2, 2θ = 27.7°, I 38.7
hkl 1 2 2, 2θ = 29.9°, I 31.8
hkl 2 1 2, 2θ = 31.0°, I 28.5
hkl -1 2 2, 2θ = 33.4°, I 37.8
hkl -2 1 2, 2θ = 36.8°, I 33.0